Simulated powder diffractogram
Compound: Ge2MoF8
Radiation: Cu Kα
Structure: DFT lattice parameters and positions (GGA+U)
Peak positions follow from Bragg's law for the DFT cell and can differ from measured ones.

Main lines, sorted by position (2θ = 10–80°):
d 5.042, 2θ 17.6, intensity 43, (1 0 0); d 4.086, 2θ 21.7, intensity 100, (1 1 1); d 3.676, 2θ 24.2, intensity 73, (0 1 -1); d 3.503, 2θ 25.4, intensity 74, (1 0 -1); d 3.041, 2θ 29.4, intensity 18, (1 -1 1); d 2.977, 2θ 30.0, intensity 24, (0 1 2); d 2.799, 2θ 32.0, intensity 20, (0 2 1); d 2.087, 2θ 43.3, intensity 28, (1 1 -2); d 2.043, 2θ 44.3, intensity 20, (2 2 2); d 1.753, 2θ 52.2, intensity 16, (1 -1 3)

Cell and atoms:
```
Ge2MoF8
1.0
5.2881 0.0000 0.0000
1.1897 5.7377 0.0000
1.7573 1.5098 6.0468
Ge Mo F
2 1 8
Direct
0.2408 0.1332 0.1557
0.7592 0.8668 0.8443
0.5000 0.5000 0.5000
0.2515 0.4327 0.7898
0.2830 0.3573 0.3750
0.2843 0.8373 0.4138
0.3808 0.8775 0.9349
0.6192 0.1225 0.0651
0.7157 0.1627 0.5862
0.7170 0.6427 0.6250
0.7485 0.5673 0.2102
```